Theoretical powder diffraction line list
Compound: La2Te6WO18
Radiation: a wavelength of 1.5418 Å
Structure: a crystal structure in Alexandria, relaxed with GGA+U
Intensities are scaled so that the largest is 100.

Main lines, by angle (5° ≤ 2θ ≤ 70°):
hkl, 2θ (°), I/Imax
0 0 6, 25.89, 74
1 1 2, 27.22, 100
1 1 3, 28.92, 81
1 1 4, 31.15, 71
3 0 0, 45.47, 51
0 3 6, 53.07, 46

Structural model:
```
54
Lattice="6.9099 0.0000 0.0000 -3.4550 5.9842 0.0000 0.0000 0.0000 20.6474" Properties=species:S:1:pos:R:3 pbc="T T T"
La 0.0000 0.0000 0.0000
La 0.0000 0.0000 10.3237
La 0.0000 3.9894 0.2056
La 0.0000 3.9894 10.5293
Te -0.9072 1.9925 3.4637
Te -2.1830 4.2023 13.7874
Te -0.8540 1.9873 17.3705
Te -2.1609 4.2510 7.0468
Te 0.8540 1.9873 7.0468
Te -1.3070 5.7301 17.3705
Te 0.9072 1.9925 13.7874
Te -1.2758 5.7736 3.4637
Te 2.1830 4.2023 3.4637
Te 1.2758 5.7736 13.7874
Te 2.1609 4.2510 17.3705
Te 1.3070 5.7301 7.0468
W 3.4550 1.9947 0.7002
W 3.4550 1.9947 11.0239
O 0.0000 0.0000 7.2317
O 0.0000 0.0000 17.5553
O -0.6725 1.7801 1.5968
O -2.2496 4.5117 11.9205
O -0.9044 2.5674 6.5380
O -1.6837 3.9172 16.8617
O -0.5799 2.1654 19.2144
O -1.8696 4.3992 8.8907
O 1.6639 0.0456 14.2873
O 0.8714 1.4182 3.9636
O 0.6725 1.7801 11.9205
O -1.5771 5.6766 1.5968
O 0.5799 2.1654 8.8907
O -1.2897 5.4037 19.2144
O 0.0000 3.9894 3.1230
O 0.0000 3.9894 13.4466
O 0.9044 2.5674 16.8617
O -0.7793 5.4837 6.5380
O 2.6308 0.4910 10.4025
O 1.7406 2.0328 0.0788
O 1.6837 3.9172 6.5380
O 0.7793 5.4837 16.8617
O 1.8696 4.3992 19.2144
O 1.2897 5.4037 8.8907
O 4.2792 0.4910 0.0788
O 2.5648 3.4604 10.4025
O 3.4550 1.9947 2.5368
O 3.4550 1.9947 12.8605
O 2.2496 4.5117 1.5968
O 1.5771 5.6766 11.9205
O 5.2460 0.0456 3.9636
O 2.6625 4.5204 14.2873
O 5.1694 2.0328 10.4025
O 4.3452 3.4604 0.0788
O 6.0385 1.4182 14.2873
O 4.2474 4.5204 3.9636
```